Entry 1:
The following is a simulated XRD peak list of CaMg6Sc. It was derived from a DFT-relaxed cell (PBE, Alexandria), using copper Kα.

a = 4.6297 Å, b = 4.6297 Å, c = 9.3159 Å
α = 90.00°, β = 90.00°, γ = 90.00°
Fractional coordinates of all 8 atoms:
Ca: 0.0000 0.0000 0.0000
Mg: 0.0000 0.5000 0.2622
Mg: 0.0000 0.5000 0.7378
Mg: 0.5000 0.0000 0.2622
Mg: 0.5000 0.0000 0.7378
Mg: 0.5000 0.5000 0.0000
Mg: 0.5000 0.5000 0.5000
Sc: 0.0000 0.0000 0.5000

Principal peaks in the range 10° ≤ 2θ ≤ 90°, in order of rising 2θ:
2θ (°), d (Å), Rel. int.
33.5, 2.678, 100
38.7, 2.329, 16
38.9, 2.315, 33
56.0, 1.642, 20
56.2, 1.637, 10
66.7, 1.403, 11
67.0, 1.397, 23
70.3, 1.339, 10

=====

Entry 2:
The following is a simulated XRD peak list of Sr2TbCu3O6. It was derived from a DFT-relaxed cell (PBE, Alexandria), using copper Kα.

a = 3.8154 Å, b = 3.8154 Å, c = 11.6832 Å
α = 90.00°, β = 90.00°, γ = 90.00°
Fractional coordinates of all 12 atoms:
Sr: 0.0000 0.0000 0.1969
Sr: 0.0000 0.0000 0.8031
Tb: 0.0000 0.0000 0.5000
Cu: 0.5000 0.5000 0.0000
Cu: 0.5000 0.5000 0.3549
Cu: 0.5000 0.5000 0.6451
O: 0.0000 0.5000 0.3739
O: 0.0000 0.5000 0.6261
O: 0.5000 0.0000 0.3739
O: 0.5000 0.0000 0.6261
O: 0.5000 0.5000 0.1559
O: 0.5000 0.5000 0.8441

Principal peaks in the range 10° ≤ 2θ ≤ 90°, in order of rising 2θ:
2θ (°), d (Å), Rel. int.
24.5, 3.627, 10
32.9, 2.725, 100
33.2, 2.698, 57
38.8, 2.319, 21
47.7, 1.908, 31
58.5, 1.579, 15
59.1, 1.563, 37
68.9, 1.363, 10

=====

Entry 3:
The following is a simulated XRD peak list of AcTb2Ge4. It was derived from a DFT-relaxed cell (PBE, Alexandria), using copper Kα.

a = 10.2544 Å, b = 10.2544 Å, c = 10.2544 Å
α = 157.47°, β = 155.09°, γ = 33.84°
Fractional coordinates of all 7 atoms:
Ac: 0.0000 0.0000 0.0000
Tb: 0.1840 0.6839 0.5000
Tb: 0.8161 0.3160 0.5000
Ge: 0.3361 0.8361 0.5000
Ge: 0.4229 0.4229 0.0000
Ge: 0.5771 0.5771 0.0000
Ge: 0.6639 0.1639 0.5000

Principal peaks in the range 10° ≤ 2θ ≤ 90°, in order of rising 2θ:
2θ (°), d (Å), Rel. int.
26.1, 3.417, 28
27.3, 3.270, 23
30.5, 2.935, 47
31.5, 2.842, 100
39.2, 2.297, 23
40.8, 2.211, 25
55.5, 1.655, 22
74.9, 1.268, 23

=====

Entry 4:
The following is a simulated XRD peak list of Cu22Au. It was derived from a DFT-relaxed cell (PBE, Alexandria), using copper Kα.

a = 9.3470 Å, b = 9.3470 Å, c = 9.3470 Å
α = 60.00°, β = 60.00°, γ = 60.00°
Fractional coordinates of all 46 atoms:
Cu: 0.0000 0.0000 0.0000
Cu: 0.0000 0.0000 0.5000
Cu: 0.0000 0.5000 0.0000
Cu: 0.0000 0.5000 0.5000
Cu: 0.0120 0.0120 0.7380
Cu: 0.0120 0.7380 0.0120
Cu: 0.0120 0.7380 0.7380
Cu: 0.1768 0.1768 0.4425
Cu: 0.1768 0.1768 0.7038
Cu: 0.1768 0.4425 0.1768
Cu: 0.1768 0.4425 0.7038
Cu: 0.1768 0.7038 0.1768
Cu: 0.1768 0.7038 0.4425
Cu: 0.2620 0.2620 0.9880
Cu: 0.2620 0.9880 0.2620
Cu: 0.2620 0.9880 0.9880
Cu: 0.2962 0.5575 0.8232
Cu: 0.2962 0.8232 0.5575
Cu: 0.2962 0.8232 0.8232
Cu: 0.4425 0.1768 0.1768
Cu: 0.4425 0.1768 0.7038
Cu: 0.4425 0.7038 0.1768
Cu: 0.5000 0.0000 0.0000
Cu: 0.5000 0.0000 0.5000
Cu: 0.5000 0.5000 0.0000
Cu: 0.5000 0.5000 0.5000
Cu: 0.5575 0.2962 0.8232
Cu: 0.5575 0.8232 0.2962
Cu: 0.5575 0.8232 0.8232
Cu: 0.7038 0.1768 0.1768
Cu: 0.7038 0.1768 0.4425
Cu: 0.7038 0.4425 0.1768
Cu: 0.7380 0.0120 0.0120
Cu: 0.7380 0.0120 0.7380
Cu: 0.7380 0.7380 0.0120
Cu: 0.8232 0.2962 0.5575
Cu: 0.8232 0.2962 0.8232
Cu: 0.8232 0.5575 0.2962
Cu: 0.8232 0.5575 0.8232
Cu: 0.8232 0.8232 0.2962
Cu: 0.8232 0.8232 0.5575
Cu: 0.9880 0.2620 0.2620
Cu: 0.9880 0.2620 0.9880
Cu: 0.9880 0.9880 0.2620
Au: 0.3750 0.3750 0.3750
Au: 0.6250 0.6250 0.6250

Principal peaks in the range 10° ≤ 2θ ≤ 90°, in order of rising 2θ:
2θ (°), d (Å), Rel. int.
38.5, 2.337, 18
40.4, 2.234, 100
43.3, 2.090, 49
45.0, 2.016, 73
45.5, 1.993, 61
59.3, 1.558, 27
82.6, 1.168, 37
86.9, 1.121, 18

=====

Entry 5:
The following is a simulated XRD peak list of TbDy5Cd6. It was derived from a DFT-relaxed cell (PBE, Alexandria), using copper Kα.

a = 5.2879 Å, b = 7.5122 Å, c = 8.3661 Å
α = 90.00°, β = 108.30°, γ = 90.00°
Fractional coordinates of all 12 atoms:
Tb: 0.0000 0.0000 0.0000
Dy: 0.0000 0.5000 0.0000
Dy: 0.3329 0.0000 0.6661
Dy: 0.3336 0.5000 0.6674
Dy: 0.6664 0.5000 0.3326
Dy: 0.6671 0.0000 0.3339
Cd: 0.1672 0.2509 0.3340
Cd: 0.1672 0.7491 0.3340
Cd: 0.5000 0.2504 0.0000
Cd: 0.5000 0.7496 0.0000
Cd: 0.8328 0.2509 0.6660
Cd: 0.8328 0.7491 0.6660

Principal peaks in the range 10° ≤ 2θ ≤ 90°, in order of rising 2θ:
2θ (°), d (Å), Rel. int.
33.8, 2.650, 100
33.9, 2.644, 20
48.5, 1.878, 7
48.6, 1.873, 7
48.7, 1.869, 7
60.5, 1.531, 22
60.6, 1.528, 22
71.1, 1.325, 9

=====

Entry 6:
The following is a simulated XRD peak list of Pd12Pt5Au. It was derived from a DFT-relaxed cell (PBE, Alexandria), using copper Kα.

a = 8.3864 Å, b = 8.3864 Å, c = 4.8661 Å
α = 106.74°, β = 106.74°, γ = 60.20°
Fractional coordinates of all 18 atoms:
Pd: 0.9999 0.3328 0.8336
Pd: 0.0001 0.6672 0.1664
Pd: 0.1645 0.8355 0.0000
Pd: 0.1661 0.4990 0.6673
Pd: 0.3320 0.6680 0.5000
Pd: 0.3328 0.9999 0.8336
Pd: 0.4990 0.1661 0.6673
Pd: 0.5010 0.8339 0.3327
Pd: 0.6672 0.0001 0.1664
Pd: 0.6680 0.3320 0.5000
Pd: 0.8339 0.5010 0.3327
Pd: 0.8355 0.1645 0.0000
Pt: 0.0000 0.0000 0.5000
Pt: 0.1656 0.1656 0.3351
Pt: 0.3310 0.3310 0.1707
Pt: 0.6690 0.6690 0.8293
Pt: 0.8344 0.8344 0.6649
Au: 0.5000 0.5000 0.0000

Principal peaks in the range 10° ≤ 2θ ≤ 90°, in order of rising 2θ:
2θ (°), d (Å), Rel. int.
39.3, 2.290, 100
39.5, 2.281, 33
45.7, 1.985, 22
45.8, 1.980, 43
66.6, 1.404, 14
66.9, 1.399, 21
80.4, 1.194, 21
84.6, 1.145, 11

=====

Entry 7:
The following is a simulated XRD peak list of Mg5Si9. It was derived from a DFT-relaxed cell (PBE, Alexandria), using copper Kα.

a = 7.0490 Å, b = 7.0565 Å, c = 12.6353 Å
α = 100.69°, β = 91.32°, γ = 117.69°
Fractional coordinates of all 28 atoms:
Mg: 0.0000 0.0000 0.0000
Mg: 0.0150 0.6754 0.2818
Mg: 0.1109 0.2365 0.7664
Mg: 0.3021 0.8089 0.6495
Mg: 0.4228 0.0798 0.8932
Mg: 0.4399 0.9518 0.4265
Mg: 0.5790 0.6978 0.8336
Mg: 0.6773 0.6251 0.4502
Mg: 0.7153 0.8915 0.2373
Mg: 0.9699 0.5452 0.9115
Si: 0.0863 0.0732 0.3794
Si: 0.1574 0.5068 0.1127
Si: 0.1660 0.0580 0.5619
Si: 0.2230 0.4785 0.4515
Si: 0.2616 0.8813 0.0998
Si: 0.3279 0.4113 0.9699
Si: 0.3472 0.1766 0.2575
Si: 0.3600 0.5382 0.2776
Si: 0.3955 0.4548 0.6224
Si: 0.5926 0.9354 0.0335
Si: 0.6924 0.5813 0.0562
Si: 0.7069 0.1918 0.7358
Si: 0.7117 0.2810 0.3098
Si: 0.7523 0.4943 0.6553
Si: 0.7758 0.3153 0.1113
Si: 0.7981 0.0275 0.5702
Si: 0.8624 0.3415 0.4946
Si: 0.9966 0.8226 0.7809

Principal peaks in the range 10° ≤ 2θ ≤ 90°, in order of rising 2θ:
2θ (°), d (Å), Rel. int.
29.7, 3.013, 62
30.6, 2.922, 100
33.8, 2.654, 60
34.0, 2.637, 53
34.4, 2.605, 49
35.7, 2.518, 53
38.5, 2.335, 61
40.9, 2.205, 42

=====

Entry 8:
The following is a simulated XRD peak list of Al2SiBr. It was derived from a DFT-relaxed cell (PBE, Alexandria), using copper Kα.

a = 5.2812 Å, b = 5.2812 Å, c = 3.1619 Å
α = 104.53°, β = 104.53°, γ = 89.54°
Fractional coordinates of all 4 atoms:
Al: 0.0000 0.5000 0.0000
Al: 0.5000 0.0000 0.0000
Si: 0.0000 0.0000 0.0000
Br: 0.5000 0.5000 0.0000

Principal peaks in the range 10° ≤ 2θ ≤ 90°, in order of rising 2θ:
2θ (°), d (Å), Rel. int.
17.4, 5.103, 58
30.2, 2.958, 76
35.2, 2.552, 100
40.3, 2.238, 67
49.0, 1.860, 19
50.2, 1.816, 17
53.1, 1.725, 30
58.6, 1.574, 23